(1)
The following is a calculated powder diffractogram of CsRbCdPb. It was derived from a structure optimized by DFT (GGA-PBE), using Cu Kα.

Most intense lines, 2θ = 10–90°, in order of rising 2θ:
Position (°2θ)  I_rel  index
15.1  48  1 0 -1
17.9  36  1 1 0
25.0  31  2 0 -1
25.6  35  0 2 0
27.9  86  1 1 -2
28.1  100  2 1 -1
28.6  41  1 2 0
32.7  59  1 2 1
36.1  31  0 2 2
46.7  35  1 3 -2

Cell and atoms:
Cell: 7.320 6.947 7.417 Å, 90.00 105.84 90.00°
Space group P2_1/m (No. 11)
One atom of each set of equivalent atoms:
Cs 0.026 0.250 0.181 x2
Rb 0.324 0.750 0.479 x2
Cd 0.500 0.000 0.000 x2
Pb 0.248 0.250 0.732 x2

---

(2)
The following is a calculated powder diffractogram of CsRbCdPb. It was derived from a structure optimized by DFT (GGA-PBE), using Cu Kα.

Most intense lines, 2θ = 10–90°, in order of rising 2θ:
Position (°2θ)  I_rel  index
15.1  30  0 0 2
17.9  30  1 1 1
24.8  26  0 1 3
25.6  21  2 0 0
28.0  100  1 1 3
28.6  24  2 1 1
32.7  34  2 2 0
33.8  24  1 3 1
36.2  29  2 2 2
46.7  25  3 1 3

Cell and atoms:
Cell: 6.952 8.874 11.749 Å, 90.00 90.00 90.00°
Space group Ama2 (No. 40)
One atom of each set of equivalent atoms:
Cs 0.250 0.149 0.000 x4
Rb 0.250 0.148 0.655 x4
Cd 0.000 0.000 0.325 x4
Pb 0.250 0.260 0.332 x4

---

(3)
The following is a calculated powder diffractogram of CsPrCdTe2Se. It was derived from a structure optimized by DFT (GGA-PBE), using Cu Kα.

Most intense lines, 2θ = 10–90°, in order of rising 2θ:
Position (°2θ)  I_rel  index
10.5  54  0 2 0
25.1  82  1 3 0
26.1  35  0 4 2
26.2  100  1 3 1
29.4  71  1 3 2
30.4  83  0 0 4
36.5  57  1 5 2
39.3  43  2 0 0
46.3  41  1 3 5
48.7  27  1 7 3

Cell and atoms:
Cell: 4.582 16.815 11.758 Å, 90.00 90.00 90.00°
Space group Cmcm (No. 63)
One atom of each set of equivalent atoms:
Cs 0.000 0.237 0.250 x4
Pr 0.000 0.500 0.000 x4
Cd 0.000 0.038 0.750 x4
Te 0.000 0.130 0.549 x8
Se 0.000 0.445 0.750 x4

---

(4)
The following is a calculated powder diffractogram of Cs2Cd5Sn3. It was derived from a structure optimized by DFT (GGA-PBE), using Cu Kα.

Most intense lines, 2θ = 10–90°, in order of rising 2θ:
Position (°2θ)  I_rel  index
25.3  33  1 0 5
25.5  19  1 1 2
31.2  22  1 0 7
33.1  100  1 1 6
34.8  79  2 0 0
38.7  29  1 1 8
43.4  16  2 1 5
50.0  28  2 2 0
61.3  33  3 1 6
65.0  25  2 0 14

Cell and atoms:
Cell: 5.162 5.162 24.150 Å, 90.00 90.00 90.00°
Space group I4/mmm (No. 139)
One atom of each set of equivalent atoms:
Cs 0.000 0.000 0.194 x4
Cd 0.000 0.000 0.500 x2
Cd 0.000 0.500 0.073 x8
Sn 0.000 0.000 0.000 x2
Sn 0.000 0.000 0.364 x4

---

(5)
The following is a calculated powder diffractogram of CdCu15. It was derived from a structure optimized by DFT (GGA-PBE), using Cu Kα.

Most intense lines, 2θ = 10–90°, in order of rising 2θ:
Position (°2θ)  I_rel  index
11.0  12  0 4 0
42.3  57  1 12 -1
43.5  100  2 0 0
44.6  40  1 13 -1
48.9  36  1 12 1
51.1  27  1 13 1
51.8  29  2 0 -2
73.4  12  2 0 2
74.0  19  3 12 -1
75.7  15  3 13 -1

Cell and atoms:
Cell: 4.374 32.243 4.375 Å, 90.00 107.70 90.00°
Space group P2/c (No. 13)
One atom of each set of equivalent atoms:
Cd 0.000 0.188 0.250 x2
Cu 0.000 0.241 0.750 x2
Cu 0.000 0.281 0.250 x2
Cu 0.000 0.321 0.750 x2
Cu 0.000 0.361 0.250 x2
Cu 0.000 0.400 0.750 x2
Cu 0.000 0.440 0.250 x2
Cu 0.000 0.480 0.750 x2
Cu 0.500 0.203 0.750 x2
Cu 0.500 0.240 0.250 x2
Cu 0.500 0.281 0.750 x2
Cu 0.500 0.321 0.250 x2
Cu 0.500 0.361 0.750 x2
Cu 0.500 0.400 0.250 x2
Cu 0.500 0.440 0.750 x2
Cu 0.500 0.480 0.250 x2

---

(6)
The following is a calculated powder diffractogram of CdCu10. It was derived from a structure optimized by DFT (GGA-PBE), using Cu Kα.

Most intense lines, 2θ = 10–90°, in order of rising 2θ:
Position (°2θ)  I_rel  index
10.6  20  0 0 3
37.7  13  1 1 7
43.1  97  1 1 9
43.7  100  3 1 -3
46.0  12  1 1 10
49.0  31  2 0 -12
50.3  31  4 0 6
52.2  29  0 2 0
74.4  16  2 2 -12
75.4  17  4 2 6

Cell and atoms:
Cell: 8.085 3.502 25.031 Å, 90.00 90.38 90.00°
Space group C2/m (No. 12)
One atom of each set of equivalent atoms:
Cd 0.151 0.000 0.139 x4
Cu 0.048 0.000 0.714 x4
Cu 0.050 0.000 0.385 x4
Cu 0.050 0.500 0.549 x4
Cu 0.052 0.500 0.220 x4
Cu 0.148 0.000 0.811 x4
Cu 0.150 0.000 0.484 x4
Cu 0.150 0.500 0.319 x4
Cu 0.150 0.500 0.647 x4
Cu 0.248 0.500 0.746 x4
Cu 0.250 0.000 0.582 x4

---

(7)
The following is a calculated powder diffractogram of CdCu15. It was derived from a structure optimized by DFT (GGA-PBE), using Cu Kα.

Most intense lines, 2θ = 10–90°, in order of rising 2θ:
Position (°2θ)  I_rel  index
10.4  19  0 0 4
42.8  61  0 1 13
43.4  100  2 1 0
45.1  28  0 1 14
49.7  38  2 0 13
51.1  30  0 2 0
51.7  18  2 0 14
74.1  22  2 2 13
75.7  11  2 2 14
89.3  13  4 1 13

Cell and atoms:
Cell: 5.136 3.574 34.077 Å, 90.00 90.01 90.00°
Space group P2_1/m (No. 11)
One atom of each set of equivalent atoms:
Cd 0.125 0.250 0.293 x2
Cu 0.125 0.250 0.056 x2
Cu 0.125 0.250 0.130 x2
Cu 0.125 0.250 0.205 x2
Cu 0.125 0.250 0.832 x2
Cu 0.125 0.250 0.907 x2
Cu 0.125 0.250 0.981 x2
Cu 0.126 0.250 0.756 x2
Cu 0.375 0.750 0.019 x2
Cu 0.375 0.750 0.093 x2
Cu 0.375 0.750 0.168 x2
Cu 0.375 0.750 0.722 x2
Cu 0.375 0.750 0.795 x2
Cu 0.375 0.750 0.869 x2
Cu 0.375 0.750 0.944 x2
Cu 0.376 0.750 0.244 x2

---

(8)
The following is a calculated powder diffractogram of CdCu15. It was derived from a structure optimized by DFT (GGA-PBE), using Cu Kα.

Most intense lines, 2θ = 10–90°, in order of rising 2θ:
Position (°2θ)  I_rel  index
10.6  10  0 0 5
39.3  8  1 1 8
42.7  90  1 1 11
44.0  100  1 1 12
50.1  17  0 0 23
50.6  60  2 0 0
74.0  20  2 0 23
74.3  17  2 2 0
75.9  9  2 0 24
89.7  19  3 1 11

Cell and atoms:
Cell: 3.610 3.610 41.844 Å, 90.00 90.00 90.00°
Space group Pmma (No. 51)
One atom of each set of equivalent atoms:
Cd 0.250 0.000 0.164 x2
Cu 0.250 0.000 0.265 x2
Cu 0.250 0.000 0.350 x2
Cu 0.250 0.000 0.436 x2
Cu 0.250 0.000 0.521 x2
Cu 0.250 0.000 0.607 x2
Cu 0.250 0.000 0.693 x2
Cu 0.250 0.000 0.779 x2
Cu 0.250 0.500 0.221 x2
Cu 0.250 0.500 0.307 x2
Cu 0.250 0.500 0.393 x2
Cu 0.250 0.500 0.479 x2
Cu 0.250 0.500 0.564 x2
Cu 0.250 0.500 0.650 x2
Cu 0.250 0.500 0.736 x2
Cu 0.250 0.500 0.821 x2

---

(9)
The following is a calculated powder diffractogram of CdCu2Te2F2. It was derived from a structure optimized by DFT (GGA-PBE), using Cu Kα.

Most intense lines, 2θ = 10–90°, in order of rising 2θ:
Position (°2θ)  I_rel  index
26.2  66  1 0 1
30.8  66  1 0 2
34.9  24  1 1 0
37.3  89  1 0 3
39.7  100  1 1 2
50.2  45  2 0 0
53.7  28  1 0 5
64.2  43  2 1 3
76.6  19  2 1 5
87.2  19  3 1 2

Cell and atoms:
Cell: 3.634 3.634 9.674 Å, 90.00 90.00 90.00°
Space group P-4m2 (No. 115)
One atom of each set of equivalent atoms:
Cd 0.000 0.000 0.000 x1
Cu 0.000 0.500 0.372 x2
Te 0.000 0.500 0.769 x2
F 0.000 0.000 0.500 x1
F 0.500 0.500 0.500 x1

---

(10)
The following is a calculated powder diffractogram of Gd3Cd3GaCu2. It was derived from a structure optimized by DFT (GGA-PBE), using Cu Kα.

Most intense lines, 2θ = 10–90°, in order of rising 2θ:
Position (°2θ)  I_rel  index
32.3  100  1 1 1
35.3  87  2 0 1
37.2  50  2 1 0
42.4  20  3 0 0
43.2  38  0 0 2
51.6  14  3 1 0
56.3  23  3 1 1
58.3  26  2 1 2
62.1  14  3 0 2
67.7  25  3 2 1

Cell and atoms:
Cell: 7.3811 7.3811 4.1930 Å, 90.00 90.00 120.00°
Space group P-62m (No. 189)
One atom of each set of equivalent atoms:
Gd 0.0000 0.5832 0.0000 x3
Cd 0.0000 0.2542 0.5000 x3
Ga 0.0000 0.0000 0.0000 x1
Cu 0.3333 0.6667 0.5000 x2

---

(11)
The following is a calculated powder diffractogram of ZnCdGaCu. It was derived from a structure optimized by DFT (GGA-PBE), using Cu Kα.

Most intense lines, 2θ = 10–90°, in order of rising 2θ:
Position (°2θ)  I_rel  index
24.0  4  1 1 1
27.8  3  2 0 0
39.7  100  2 2 0
46.9  2  3 1 1
49.1  1  2 2 2
57.4  16  4 0 0
63.1  1  3 3 1
64.9  1  4 2 0
72.0  32  4 2 2
85.5  10  4 4 0

Cell and atoms:
Cell: 6.426 6.426 6.426 Å, 90.00 90.00 90.00°
Space group F-43m (No. 216)
One atom of each set of equivalent atoms:
Zn 0.000 0.000 0.000 x4
Cd 0.250 0.250 0.250 x4
Ga 0.250 0.250 0.750 x4
Cu 0.000 0.000 0.500 x4

---

(12)
The following is a calculated powder diffractogram of Gd3Cd3Cu2Pd. It was derived from a structure optimized by DFT (GGA-PBE), using Cu Kα.

Most intense lines, 2θ = 10–90°, in order of rising 2θ:
Position (°2θ)  I_rel  index
32.8  100  1 1 1
35.7  81  2 0 1
36.7  45  2 1 0
41.8  30  3 0 0
43.3  16  2 1 1
45.5  23  0 0 2
56.1  18  3 1 1
59.8  21  2 1 2
63.4  17  3 0 2
67.1  27  3 2 1

Cell and atoms:
Cell: 7.4885 7.4885 3.9909 Å, 90.00 90.00 120.00°
Space group P-62m (No. 189)
One atom of each set of equivalent atoms:
Gd 0.0000 0.5929 0.0000 x3
Cd 0.0000 0.2584 0.5000 x3
Cu 0.3333 0.6667 0.5000 x2
Pd 0.0000 0.0000 0.0000 x1